[1]
Structure and computed X-ray powder pattern of NdNpSeS2 (a PBE-relaxed structure; CuKα).
Lines closer than 0.1° are merged.

Unit cell a=7.429 b=7.429 c=7.429 alpha=145.74 beta=145.74 gamma=49.23
Fractional coordinates of all 5 atoms:
Nd: 0.000 0.000 0.000
Np: 0.263 0.263 0.000
Se: 0.629 0.629 0.000
S: 0.376 0.876 0.500
S: 0.876 0.376 0.500

Top 6 peaks for 2θ = 15–90°, most intense first:
d_spacing, 2theta, Rel. int.
3.138, 28.44, 100
3.094, 28.85, 50
4.163, 21.34, 47
1.795, 50.88, 41
2.281, 39.50, 37
2.188, 41.26, 35

[2]
Structure and computed X-ray powder pattern of NdNpTe3 (a PBE-relaxed structure; CuKα).
Lines closer than 0.1° are merged.

Unit cell a=8.346 b=11.280 c=7.370 alpha=90.00 beta=90.00 gamma=90.00
Fractional coordinates of all 20 atoms:
Nd: 0.122 0.250 0.053
Nd: 0.378 0.750 0.553
Nd: 0.622 0.250 0.447
Nd: 0.878 0.750 0.947
Np: 0.000 0.000 0.500
Np: 0.000 0.500 0.500
Np: 0.500 0.000 0.000
Np: 0.500 0.500 0.000
Te: 0.049 0.750 0.338
Te: 0.176 0.579 0.843
Te: 0.176 0.921 0.843
Te: 0.324 0.079 0.343
Te: 0.324 0.421 0.343
Te: 0.451 0.250 0.838
Te: 0.549 0.750 0.162
Te: 0.676 0.579 0.657
Te: 0.676 0.921 0.657
Te: 0.824 0.079 0.157
Te: 0.824 0.421 0.157
Te: 0.951 0.250 0.662

Top 6 peaks for 2θ = 15–90°, most intense first:
d_spacing, 2theta, Rel. int.
3.947, 22.53, 100
2.175, 41.53, 86
2.603, 34.46, 78
3.108, 28.72, 58
3.230, 27.62, 55
2.481, 36.21, 52

[3]
Structure and computed X-ray powder pattern of Nd2O3 (a PBE-relaxed structure; CuKα).
Lines closer than 0.1° are merged.

Unit cell a=9.298 b=3.495 c=9.249 alpha=90.00 beta=90.00 gamma=90.00
Fractional coordinates of all 20 atoms:
Nd: 0.004 0.250 0.185
Nd: 0.186 0.250 0.511
Nd: 0.314 0.750 0.011
Nd: 0.496 0.750 0.685
Nd: 0.504 0.250 0.315
Nd: 0.686 0.250 0.989
Nd: 0.814 0.750 0.489
Nd: 0.996 0.750 0.815
O: 0.045 0.750 0.373
O: 0.114 0.250 0.943
O: 0.226 0.750 0.688
O: 0.274 0.250 0.188
O: 0.386 0.750 0.443
O: 0.455 0.250 0.873
O: 0.545 0.750 0.127
O: 0.614 0.250 0.557
O: 0.726 0.750 0.812
O: 0.774 0.250 0.312
O: 0.886 0.750 0.057
O: 0.955 0.250 0.627

Top 6 peaks for 2θ = 15–90°, most intense first:
d_spacing, 2theta, Rel. int.
3.276, 27.22, 100
2.672, 33.53, 65
2.939, 30.42, 48
2.926, 30.55, 44
3.084, 28.95, 43
2.244, 40.19, 31

[4]
Structure and computed X-ray powder pattern of Nd2O3 (a PBE-relaxed structure; CuKα).
Lines closer than 0.1° are merged.

Unit cell a=9.682 b=9.682 c=9.682 alpha=109.47 beta=109.47 gamma=109.47
Fractional coordinates of all 40 atoms:
Nd: 0.000 0.000 0.500
Nd: 0.000 0.500 0.000
Nd: 0.031 0.750 0.781
Nd: 0.219 0.969 0.250
Nd: 0.250 0.219 0.969
Nd: 0.250 0.719 0.469
Nd: 0.281 0.531 0.750
Nd: 0.469 0.250 0.719
Nd: 0.500 0.000 0.000
Nd: 0.500 0.500 0.500
Nd: 0.531 0.750 0.281
Nd: 0.719 0.469 0.250
Nd: 0.750 0.281 0.531
Nd: 0.750 0.781 0.031
Nd: 0.781 0.031 0.750
Nd: 0.969 0.250 0.219
O: 0.012 0.040 0.271
O: 0.028 0.488 0.759
O: 0.040 0.271 0.012
O: 0.229 0.269 0.741
O: 0.231 0.460 0.472
O: 0.241 0.972 0.512
O: 0.259 0.771 0.731
O: 0.269 0.741 0.229
O: 0.271 0.012 0.040
O: 0.460 0.472 0.231
O: 0.472 0.231 0.460
O: 0.488 0.759 0.028
O: 0.512 0.241 0.972
O: 0.528 0.769 0.540
O: 0.540 0.528 0.769
O: 0.729 0.988 0.960
O: 0.731 0.259 0.771
O: 0.741 0.229 0.269
O: 0.759 0.028 0.488
O: 0.769 0.540 0.528
O: 0.771 0.731 0.259
O: 0.960 0.729 0.988
O: 0.972 0.512 0.241
O: 0.988 0.960 0.729

Top 6 peaks for 2θ = 15–90°, most intense first:
d_spacing, 2theta, Rel. int.
3.227, 27.64, 100
1.976, 45.92, 41
2.795, 32.02, 34
1.685, 54.44, 34
1.282, 73.91, 10
4.564, 19.45, 9

[5]
Structure and computed X-ray powder pattern of Nd6OsO12 (a PBE-relaxed structure; CuKα).
Lines closer than 0.1° are merged.

Unit cell a=6.726 b=6.726 c=6.726 alpha=98.52 beta=98.52 gamma=98.52
Fractional coordinates of all 19 atoms:
Nd: 0.111 0.644 0.809
Nd: 0.191 0.889 0.356
Nd: 0.356 0.191 0.889
Nd: 0.644 0.809 0.111
Nd: 0.809 0.111 0.644
Nd: 0.889 0.356 0.191
Os: 0.500 0.500 0.500
O: 0.060 0.323 0.907
O: 0.093 0.940 0.677
O: 0.212 0.532 0.432
O: 0.323 0.907 0.060
O: 0.432 0.212 0.532
O: 0.468 0.568 0.788
O: 0.532 0.432 0.212
O: 0.568 0.788 0.468
O: 0.677 0.093 0.940
O: 0.788 0.468 0.568
O: 0.907 0.060 0.323
O: 0.940 0.677 0.093

Top 6 peaks for 2θ = 15–90°, most intense first:
d_spacing, 2theta, Rel. int.
3.158, 28.26, 100
2.755, 32.49, 45
3.258, 27.38, 32
1.971, 46.04, 28
1.926, 47.18, 28
1.658, 55.41, 25

[6]
Structure and computed X-ray powder pattern of NdOsO4 (a PBE-relaxed structure; CuKα).
Lines closer than 0.1° are merged.

Unit cell a=15.182 b=7.599 c=5.501 alpha=90.00 beta=90.00 gamma=90.00
Fractional coordinates of all 48 atoms:
Nd: 0.059 0.123 0.000
Nd: 0.096 0.620 0.937
Nd: 0.404 0.120 0.437
Nd: 0.441 0.623 0.500
Nd: 0.559 0.377 0.000
Nd: 0.596 0.880 0.937
Nd: 0.904 0.380 0.437
Nd: 0.941 0.877 0.500
Os: 0.167 0.373 0.434
Os: 0.169 0.874 0.428
Os: 0.331 0.374 0.928
Os: 0.333 0.873 0.934
Os: 0.667 0.127 0.434
Os: 0.669 0.626 0.428
Os: 0.831 0.126 0.928
Os: 0.833 0.627 0.934
O: 0.052 0.400 0.248
O: 0.060 0.844 0.230
O: 0.082 0.897 0.707
O: 0.106 0.340 0.734
O: 0.161 0.123 0.346
O: 0.168 0.623 0.527
O: 0.222 0.820 0.109
O: 0.230 0.418 0.132
O: 0.270 0.918 0.632
O: 0.278 0.320 0.609
O: 0.332 0.123 0.027
O: 0.339 0.623 0.846
O: 0.394 0.840 0.234
O: 0.418 0.397 0.207
O: 0.440 0.344 0.730
O: 0.448 0.900 0.748
O: 0.552 0.100 0.248
O: 0.560 0.656 0.230
O: 0.582 0.603 0.707
O: 0.606 0.160 0.734
O: 0.661 0.377 0.346
O: 0.668 0.877 0.527
O: 0.722 0.680 0.109
O: 0.730 0.082 0.132
O: 0.770 0.582 0.632
O: 0.778 0.180 0.609
O: 0.832 0.377 0.027
O: 0.839 0.877 0.846
O: 0.894 0.660 0.234
O: 0.918 0.103 0.207
O: 0.940 0.156 0.730
O: 0.948 0.600 0.748

Top 6 peaks for 2θ = 15–90°, most intense first:
d_spacing, 2theta, Rel. int.
3.062, 29.16, 100
3.124, 28.57, 98
1.795, 50.86, 41
2.660, 33.70, 38
2.750, 32.55, 33
1.623, 56.71, 29

[7]
Structure and computed X-ray powder pattern of PmNd2OsO8 (a PBE-relaxed structure; CuKα).
Lines closer than 0.1° are merged.

Unit cell a=5.201 b=5.201 c=7.008 alpha=90.00 beta=90.00 gamma=90.04
Fractional coordinates of all 12 atoms:
Pm: 0.000 0.000 0.000
Nd: 0.500 0.500 0.250
Nd: 0.500 0.500 0.750
Os: 0.000 0.000 0.500
O: 0.179 0.179 0.296
O: 0.179 0.179 0.704
O: 0.253 0.747 0.500
O: 0.309 0.691 0.000
O: 0.691 0.309 0.000
O: 0.747 0.253 0.500
O: 0.821 0.821 0.296
O: 0.821 0.821 0.704

Top 6 peaks for 2θ = 15–90°, most intense first:
d_spacing, 2theta, Rel. int.
3.677, 24.20, 100
2.906, 30.77, 91
1.938, 46.89, 69
2.600, 34.49, 27
1.554, 59.49, 20
1.582, 58.34, 17

[8]
Structure and computed X-ray powder pattern of NdSc2OsO8 (a PBE-relaxed structure; CuKα).
Lines closer than 0.1° are merged.

Unit cell a=4.906 b=4.906 c=6.673 alpha=90.00 beta=90.00 gamma=91.81
Fractional coordinates of all 12 atoms:
Nd: 0.000 0.000 0.000
Sc: 0.500 0.500 0.238
Sc: 0.500 0.500 0.762
Os: 0.000 0.000 0.500
O: 0.198 0.198 0.294
O: 0.198 0.198 0.706
O: 0.266 0.734 0.500
O: 0.323 0.677 0.000
O: 0.677 0.323 0.000
O: 0.734 0.266 0.500
O: 0.802 0.802 0.294
O: 0.802 0.802 0.706

Top 6 peaks for 2θ = 15–90°, most intense first:
d_spacing, 2theta, Rel. int.
2.758, 32.46, 100
4.903, 18.09, 82
3.523, 25.28, 62
3.414, 26.10, 57
1.849, 49.29, 41
1.816, 50.23, 39

> Number 1 is which compound?

NdNpSeS2